Structure and theoretical XRD peak list of Mg6MnW (a crystal structure in the Materials Project, relaxed with PBE; a wavelength of 1.5418 Å).

The 6 most intense peaks (10° ≤ 2θ ≤ 90°), by angle:
2theta	I/Imax
16.37	733
17.21	528
18.20	522
24.57	464
38.02	652
39.56	1000

Structure:
Unit cell a=4.875 b=5.860 c=10.829 alpha=90.00 beta=90.00 gamma=90.00
Atoms (fractional coordinates):
Mg 0.000 0.000 0.000
Mg 0.000 0.000 0.497
Mg 0.000 0.243 0.764
Mg 0.000 0.257 0.264
Mg 0.000 0.500 0.500
Mg 0.000 0.500 0.997
Mg 0.000 0.743 0.264
Mg 0.000 0.757 0.764
Mg 0.500 0.250 0.100
Mg 0.500 0.250 0.600
Mg 0.500 0.750 0.100
Mg 0.500 0.750 0.600
Mn 0.500 0.000 0.345
Mn 0.500 0.500 0.845
W 0.500 0.000 0.853
W 0.500 0.500 0.353